1.
The following is a theoretical powder X-ray diffraction pattern of Hg7SbI4. It was derived from a crystal structure in Alexandria, relaxed with GGA-PBE, using Cu Ka.

Atomic structure:
abc: 7.048 7.048 13.338
angles: 97.55 97.55 49.52
Element x y z (fractional)
1 Hg 0.000 0.000 0.000
2 Hg 0.216 0.216 0.313
3 Hg 0.362 0.362 0.155
4 Hg 0.415 0.415 0.426
5 Hg 0.585 0.585 0.574
6 Hg 0.638 0.638 0.845
7 Hg 0.784 0.784 0.687
8 Sb 0.500 0.500 0.000
9 I 0.005 0.005 0.689
10 I 0.306 0.306 0.839
11 I 0.694 0.694 0.161
12 I 0.995 0.995 0.311

Most intense lines, 10 to 90 degrees two-theta, in order of rising 2θ:
2θ = 17.5°, 5.068 Å, I = 55; 2θ = 18.3°, 4.856 Å, I = 30; 2θ = 20.8°, 4.280 Å, I = 72; 2θ = 25.4°, 3.505 Å, I = 59; 2θ = 26.0°, 3.430 Å, I = 50; 2θ = 27.0°, 3.300 Å, I = 33; 2θ = 28.6°, 3.117 Å, I = 33; 2θ = 30.3°, 2.952 Å, I = 100; 2θ = 35.0°, 2.564 Å, I = 37; 2θ = 35.4°, 2.533 Å, I = 63

***

2.
The following is a theoretical powder X-ray diffraction pattern of Na3Ga7Au4. It was derived from a crystal structure in Alexandria, relaxed with GGA-PBE, using Cu Ka.

Atomic structure:
abc: 8.278 8.278 9.121
angles: 120.66 120.66 31.85
Element x y z (fractional)
1 Na 0.000 0.000 0.000
2 Na 0.292 0.292 0.291
3 Na 0.708 0.708 0.709
4 Ga 0.000 0.000 0.500
5 Ga 0.147 0.147 0.437
6 Ga 0.326 0.326 0.974
7 Ga 0.495 0.495 0.311
8 Ga 0.505 0.505 0.689
9 Ga 0.674 0.674 0.026
10 Ga 0.853 0.853 0.563
11 Au 0.130 0.130 0.849
12 Au 0.344 0.344 0.705
13 Au 0.656 0.656 0.295
14 Au 0.870 0.870 0.151

Most intense lines, 10 to 90 degrees two-theta, in order of rising 2θ:
2θ = 19.5°, 4.555 Å, I = 94; 2θ = 21.9°, 4.065 Å, I = 73; 2θ = 25.3°, 3.517 Å, I = 100; 2θ = 26.4°, 3.375 Å, I = 49; 2θ = 33.7°, 2.662 Å, I = 50; 2θ = 35.6°, 2.525 Å, I = 60; 2θ = 39.7°, 2.271 Å, I = 97; 2θ = 43.9°, 2.063 Å, I = 57; 2θ = 44.6°, 2.033 Å, I = 52; 2θ = 45.6°, 1.987 Å, I = 48

***

3.
The following is a theoretical powder X-ray diffraction pattern of Li7Al2. It was derived from a crystal structure in Alexandria, relaxed with GGA-PBE, using Cu Ka.

Atomic structure:
abc: 5.014 5.014 7.237
angles: 90.00 90.00 120.00
Element x y z (fractional)
1 Li 0.000 0.000 0.000
2 Li 0.000 0.342 0.675
3 Li 0.000 0.658 0.325
4 Li 0.342 0.000 0.675
5 Li 0.342 0.342 0.325
6 Li 0.658 0.000 0.325
7 Li 0.658 0.658 0.675
8 Al 0.333 0.667 0.000
9 Al 0.667 0.333 0.000

Most intense lines, 10 to 90 degrees two-theta, in order of rising 2θ:
2θ = 12.2°, 7.237 Å, I = 100; 2θ = 20.5°, 4.342 Å, I = 23; 2θ = 23.9°, 3.723 Å, I = 27; 2θ = 24.6°, 3.619 Å, I = 15; 2θ = 35.8°, 2.507 Å, I = 18; 2θ = 37.3°, 2.412 Å, I = 22; 2θ = 38.0°, 2.369 Å, I = 79; 2θ = 43.9°, 2.061 Å, I = 53; 2θ = 63.4°, 1.467 Å, I = 16; 2θ = 76.8°, 1.241 Å, I = 15

***

4.
The following is a theoretical powder X-ray diffraction pattern of Ac2PmBe3Pd12. It was derived from a crystal structure in Alexandria, relaxed with GGA-PBE, using Cu Ka.

Atomic structure:
abc: 7.972 7.972 7.972
angles: 57.96 57.96 57.96
Element x y z (fractional)
1 Ac 0.100 0.100 0.100
2 Ac 0.900 0.900 0.900
3 Pm 0.500 0.500 0.500
4 Be 0.000 0.500 0.500
5 Be 0.500 0.000 0.500
6 Be 0.500 0.500 0.000
7 Pd 0.022 0.650 0.650
8 Pd 0.227 0.227 0.639
9 Pd 0.227 0.639 0.227
10 Pd 0.350 0.350 0.978
11 Pd 0.350 0.978 0.350
12 Pd 0.361 0.773 0.773
13 Pd 0.639 0.227 0.227
14 Pd 0.650 0.022 0.650
15 Pd 0.650 0.650 0.022
16 Pd 0.773 0.361 0.773
17 Pd 0.773 0.773 0.361
18 Pd 0.978 0.350 0.350

Most intense lines, 10 to 90 degrees two-theta, in order of rising 2θ:
2θ = 26.7°, 3.335 Å, I = 23; 2θ = 27.0°, 3.299 Å, I = 17; 2θ = 34.4°, 2.608 Å, I = 26; 2θ = 35.1°, 2.557 Å, I = 100; 2θ = 36.7°, 2.450 Å, I = 56; 2θ = 42.8°, 2.113 Å, I = 29; 2θ = 47.1°, 1.931 Å, I = 26; 2θ = 53.8°, 1.705 Å, I = 30; 2θ = 69.7°, 1.349 Å, I = 16; 2θ = 71.1°, 1.327 Å, I = 18